Simulated powder diffractogram
Compound: RbMo2PbO8
Radiation: CuKα
Structure: a structure optimized by DFT (PBE+U)

Largest 8 diffraction maxima, by angle, 2θ from 10° to 90°:
- 17.18°, d = 5.161 Å, intensity 39, (1 0 0)
- 20.33°, d = 4.368 Å, intensity 96, (0 1 1)
- 27.79°, d = 3.210 Å, intensity 100, (0 1 2)
- 29.99°, d = 2.980 Å, intensity 71, (1 1 0)
- 37.26°, d = 2.413 Å, intensity 22, (1 0 3)
- 41.34°, d = 2.184 Å, intensity 41, (0 2 2)
- 51.91°, d = 1.761 Å, intensity 36, (3 -2 2)
- 54.33°, d = 1.689 Å, intensity 30, (1 1 4)

Atomic structure:
```
data_RbMo2PbO8
_symmetry_space_group_name_H-M 'P 1'
_symmetry_Int_Tables_number 1
_cell_length_a 5.9597
_cell_length_b 5.9597
_cell_length_c 8.1983
_cell_angle_alpha 90.00
_cell_angle_beta 90.00
_cell_angle_gamma 120.00
loop_
_symmetry_equiv_pos_as_xyz
'x,y,z'
loop_
_atom_site_label
_atom_site_type_symbol
_atom_site_fract_x
_atom_site_fract_y
_atom_site_fract_z
Rb1 Rb 0.0000 0.0000 0.0000
Mo1 Mo 0.3333 0.6667 0.7471
Mo2 Mo 0.6667 0.3333 0.2529
Pb1 Pb 0.0000 0.0000 0.5000
O1 O 0.1002 0.3411 0.6803
O2 O 0.2409 0.8998 0.6803
O3 O 0.3333 0.6667 0.9604
O4 O 0.3411 0.2409 0.3197
O5 O 0.6589 0.7591 0.6803
O6 O 0.6667 0.3333 0.0396
O7 O 0.7591 0.1002 0.3197
O8 O 0.8998 0.6589 0.3197
```